(1)
Diffraction record for Li3InBr6. The powder X-ray diffraction pattern is simulated, not measured: it uses DFT lattice parameters and positions (GGA-PBE) and Cu Kα, 1.54184 Å.
Intensities are scaled so that the largest is 100.

Main lines, low angle first (15° ≤ 2θ ≤ 90°):
- (1 0 1), 16.32°, rel. 36
- (0 0 4), 28.07°, rel. 13
- (2 -1 2), 29.33°, rel. 100
- (1 1 4), 38.41°, rel. 36
- (3 0 0), 45.28°, rel. 34
- (1 1 6), 50.46°, rel. 21
- (3 0 4), 54.13°, rel. 13
- (2 2 2), 54.86°, rel. 15
- (5 -1 2), 73.79°, rel. 11
- (3 0 8), 76.52°, rel. 11

Atomic structure:
```
data_Li3InBr6
_chemical_formula_sum 'Li6 In2 Br12'
_cell_length_a 6.9382
_cell_length_b 6.9382
_cell_length_c 12.7152
_cell_angle_alpha 90.00
_cell_angle_beta 90.00
_cell_angle_gamma 120.00
_space_group_name_H-M_alt 'P -3 1 c'
_space_group_IT_number 163
_space_group_name_Hall '-P 3 2c'
loop_
_atom_site_label
_atom_site_type_symbol
_atom_site_fract_x
_atom_site_fract_y
_atom_site_fract_z
Li1 Li 0.0000 0.0000 0.2500
Li2 Li 0.3333 0.6667 0.0398
In1 In 0.3333 0.6667 0.7500
Br1 Br 0.0268 0.3441 0.8768
```

***

(2)
Diffraction record for NaInBr4. The powder X-ray diffraction pattern is simulated, not measured: it uses DFT lattice parameters and positions (GGA-PBE) and Cu Kα, 1.54184 Å.
Intensities are scaled so that the largest is 100.

Main lines, low angle first (15° ≤ 2θ ≤ 90°):
- (0 0 2), 15.25°, rel. 26
- (0 2 0), 16.38°, rel. 29
- (0 2 2), 22.46°, rel. 40
- (0 1 3), 24.41°, rel. 29
- (1 2 2), 25.94°, rel. 100
- (2 1 0), 27.16°, rel. 51
- (1 1 3), 27.68°, rel. 45
- (0 4 0), 33.12°, rel. 30
- (0 3 5), 46.49°, rel. 34
- (3 3 2), 49.61°, rel. 29

Atomic structure:
```
data_NaInBr4
_chemical_formula_sum 'Na4 In4 Br16'
_cell_length_a 6.890
_cell_length_b 10.820
_cell_length_c 11.618
_cell_angle_alpha 90.00
_cell_angle_beta 90.00
_cell_angle_gamma 90.00
_space_group_name_H-M_alt 'P 21 21 21'
_space_group_IT_number 19
loop_
_space_group_symop_operation_xyz
'x,y,z'
'-x+1/2,-y,z+1/2'
'x+1/2,-y+1/2,-z'
'-x,y+1/2,-z+1/2'
loop_
_atom_site_label
_atom_site_type_symbol
_atom_site_fract_x
_atom_site_fract_y
_atom_site_fract_z
Na1 Na 0.068 0.025 0.147
In1 In 0.046 0.743 0.789
Br1 Br 0.160 0.553 0.900
Br2 Br 0.175 0.757 0.211
Br3 Br 0.182 0.940 0.881
Br4 Br 0.197 0.748 0.588
```

***

(3)
Diffraction record for InTeBrO3. The powder X-ray diffraction pattern is simulated, not measured: it uses DFT lattice parameters and positions (GGA-PBE) and Cu Kα, 1.54184 Å.
Intensities are scaled so that the largest is 100.

Main lines, low angle first (15° ≤ 2θ ≤ 90°):
- (2 0 0), 20.73°, rel. 32
- (0 2 0), 25.28°, rel. 100
- (3 0 0), 31.31°, rel. 36
- (2 1 -2), 31.51°, rel. 94
- (1 1 2), 31.96°, rel. 98
- (4 1 -2), 46.10°, rel. 23
- (2 3 -2), 48.63°, rel. 29
- (1 3 2), 48.94°, rel. 30
- (1 0 -4), 49.97°, rel. 21
- (1 2 -4), 56.81°, rel. 22

Atomic structure:
```
data_InTeBrO3
_chemical_formula_sum 'In4 Te4 Br4 O12'
_cell_length_a 8.797
_cell_length_b 7.045
_cell_length_c 7.302
_cell_angle_alpha 90.00
_cell_angle_beta 103.02
_cell_angle_gamma 90.00
_space_group_name_H-M_alt 'P 1 21/c 1'
_space_group_IT_number 14
loop_
_space_group_symop_operation_xyz
'x,y,z'
'-x,-y,-z'
'-x,y+1/2,-z+1/2'
'x,-y+1/2,z+1/2'
loop_
_atom_site_label
_atom_site_type_symbol
_atom_site_fract_x
_atom_site_fract_y
_atom_site_fract_z
In1 In 0.171 0.249 0.297
Te1 Te 0.193 0.723 0.553
Br1 Br 0.409 0.205 0.613
O1 O 0.029 0.218 0.508
O2 O 0.175 0.555 0.752
O3 O 0.179 0.553 0.345
```

***

(4)
Diffraction record for Rb3InBr6. The powder X-ray diffraction pattern is simulated, not measured: it uses DFT lattice parameters and positions (GGA-PBE) and Cu Kα, 1.54184 Å.
Intensities are scaled so that the largest is 100.

Main lines, low angle first (15° ≤ 2θ ≤ 90°):
- (2 2 0), 21.11°, rel. 34
- (2 2 2), 25.93°, rel. 54
- (4 0 0), 30.03°, rel. 100
- (4 2 0), 33.67°, rel. 13
- (4 2 2), 37.00°, rel. 13
- (4 4 0), 42.98°, rel. 69
- (6 2 2), 50.88°, rel. 19
- (4 4 4), 53.32°, rel. 22
- (8 4 0), 70.80°, rel. 25
- (8 4 4), 78.77°, rel. 18

Atomic structure:
```
data_Rb3InBr6
_chemical_formula_sum 'Rb12 In4 Br24'
_cell_length_a 11.904
_cell_length_b 11.904
_cell_length_c 11.904
_cell_angle_alpha 90.00
_cell_angle_beta 90.00
_cell_angle_gamma 90.00
_space_group_name_H-M_alt 'F m -3 m'
_space_group_IT_number 225
_space_group_name_Hall '-F 4 2 3'
loop_
_atom_site_label
_atom_site_type_symbol
_atom_site_fract_x
_atom_site_fract_y
_atom_site_fract_z
Rb1 Rb 0.000 0.000 0.000
Rb2 Rb 0.250 0.250 0.250
In1 In 0.000 0.000 0.500
Br1 Br 0.000 0.000 0.273
```

***

(5)
Diffraction record for Rb2ScInBr6. The powder X-ray diffraction pattern is simulated, not measured: it uses DFT lattice parameters and positions (GGA-PBE) and Cu Kα, 1.54184 Å.
Intensities are scaled so that the largest is 100.

Main lines, low angle first (15° ≤ 2θ ≤ 90°):
- (2 0 0), 15.24°, rel. 22
- (2 2 0), 21.62°, rel. 25
- (2 2 2), 26.56°, rel. 72
- (4 0 0), 30.76°, rel. 100
- (3 3 1), 33.60°, rel. 15
- (4 4 0), 44.06°, rel. 68
- (6 2 2), 52.19°, rel. 27
- (4 4 4), 54.70°, rel. 22
- (8 4 0), 72.76°, rel. 26
- (8 4 4), 81.04°, rel. 18

Atomic structure:
```
data_Rb2ScInBr6
_chemical_formula_sum 'Rb8 Sc4 In4 Br24'
_cell_length_a 11.626
_cell_length_b 11.626
_cell_length_c 11.626
_cell_angle_alpha 90.00
_cell_angle_beta 90.00
_cell_angle_gamma 90.00
_space_group_name_H-M_alt 'F m -3 m'
_space_group_IT_number 225
_space_group_name_Hall '-F 4 2 3'
loop_
_atom_site_label
_atom_site_type_symbol
_atom_site_fract_x
_atom_site_fract_y
_atom_site_fract_z
Rb1 Rb 0.250 0.250 0.250
Sc1 Sc 0.000 0.000 0.000
In1 In 0.000 0.000 0.500
Br1 Br 0.000 0.000 0.229
```

***

(6)
Diffraction record for In5S5Br. The powder X-ray diffraction pattern is simulated, not measured: it uses DFT lattice parameters and positions (GGA-PBE) and Cu Kα, 1.54184 Å.
Intensities are scaled so that the largest is 100.

Main lines, low angle first (15° ≤ 2θ ≤ 90°):
- (0 1 3), 20.06°, rel. 53
- (0 1 4), 25.44°, rel. 46
- (0 2 3), 26.16°, rel. 58
- (1 1 2), 26.98°, rel. 57
- (1 2 0), 29.53°, rel. 30
- (1 1 3), 30.10°, rel. 47
- (1 2 2), 31.86°, rel. 100
- (1 0 5), 37.27°, rel. 87
- (2 0 0), 45.31°, rel. 45
- (1 1 7), 48.87°, rel. 30

Atomic structure:
```
data_In5S5Br
_chemical_formula_sum 'In10 S10 Br2'
_cell_length_a 4.003
_cell_length_b 9.238
_cell_length_c 15.137
_cell_angle_alpha 90.00
_cell_angle_beta 90.00
_cell_angle_gamma 90.00
_space_group_name_H-M_alt 'P m n 21'
_space_group_IT_number 31
loop_
_space_group_symop_operation_xyz
'x,y,z'
'-x+1/2,-y,z+1/2'
'-x,y,z'
'x+1/2,-y,z+1/2'
loop_
_atom_site_label
_atom_site_type_symbol
_atom_site_fract_x
_atom_site_fract_y
_atom_site_fract_z
In1 In 0.000 0.020 0.000
In2 In 0.000 0.315 0.046
In3 In 0.000 0.387 0.647
In4 In 0.000 0.640 0.854
In5 In 0.000 0.894 0.270
S1 S 0.000 0.065 0.406
S2 S 0.000 0.271 0.808
S3 S 0.000 0.440 0.198
S4 S 0.000 0.529 0.495
S5 S 0.000 0.798 0.105
Br1 Br 0.000 0.903 0.703
```

***

(7)
Diffraction record for InSb2Se4Br. The powder X-ray diffraction pattern is simulated, not measured: it uses DFT lattice parameters and positions (GGA-PBE) and Cu Kα, 1.54184 Å.
Intensities are scaled so that the largest is 100.

Main lines, low angle first (15° ≤ 2θ ≤ 90°):
- (2 0 -4), 29.44°, rel. 36
- (3 1 1), 29.57°, rel. 21
- (5 1 -1), 30.59°, rel. 46
- (5 1 -2), 30.79°, rel. 100
- (5 1 0), 32.63°, rel. 36
- (5 1 -3), 33.14°, rel. 48
- (1 1 -4), 38.18°, rel. 21
- (0 2 0), 44.65°, rel. 36
- (7 1 -5), 44.86°, rel. 40
- (10 0 -5), 46.24°, rel. 26

Atomic structure:
```
data_InSb2Se4Br
_chemical_formula_sum 'In4 Sb8 Se16 Br4'
_cell_length_a 21.321
_cell_length_b 4.059
_cell_length_c 12.437
_cell_angle_alpha 90.00
_cell_angle_beta 119.17
_cell_angle_gamma 90.00
_space_group_name_H-M_alt 'C 1 2/m 1'
_space_group_IT_number 12
loop_
_space_group_symop_operation_xyz
'x,y,z'
'-x,-y,-z'
'-x,y,-z'
'x,-y,z'
'x+1/2,y+1/2,z'
'-x+1/2,-y+1/2,-z'
'-x+1/2,y+1/2,-z'
'x+1/2,-y+1/2,z'
loop_
_atom_site_label
_atom_site_type_symbol
_atom_site_fract_x
_atom_site_fract_y
_atom_site_fract_z
In1 In 0.163 0.000 0.440
Sb1 Sb 0.049 0.500 0.781
Sb2 Sb 0.204 0.000 0.090
Se1 Se 0.037 0.000 0.218
Se2 Se 0.099 0.500 0.023
Se3 Se 0.179 0.000 0.861
Se4 Se 0.211 0.500 0.346
Br1 Br 0.103 0.500 0.528
```

***

(8)
Diffraction record for In5Se5Br. The powder X-ray diffraction pattern is simulated, not measured: it uses DFT lattice parameters and positions (GGA-PBE) and Cu Kα, 1.54184 Å.
Intensities are scaled so that the largest is 100.

Main lines, low angle first (15° ≤ 2θ ≤ 90°):
- (0 1 3), 19.46°, rel. 25
- (1 1 3), 28.99°, rel. 77
- (0 2 4), 29.61°, rel. 41
- (0 1 5), 30.15°, rel. 30
- (1 2 2), 30.70°, rel. 100
- (1 0 5), 35.97°, rel. 68
- (1 3 4), 42.64°, rel. 25
- (2 0 0), 43.33°, rel. 48
- (1 4 2), 45.36°, rel. 29
- (1 1 7), 47.23°, rel. 40

Atomic structure:
```
data_In5Se5Br
_chemical_formula_sum 'In10 Se10 Br2'
_cell_length_a 4.176
_cell_length_b 9.522
_cell_length_c 15.595
_cell_angle_alpha 90.00
_cell_angle_beta 90.00
_cell_angle_gamma 90.00
_space_group_name_H-M_alt 'P m n 21'
_space_group_IT_number 31
loop_
_space_group_symop_operation_xyz
'x,y,z'
'-x+1/2,-y,z+1/2'
'-x,y,z'
'x+1/2,-y,z+1/2'
loop_
_atom_site_label
_atom_site_type_symbol
_atom_site_fract_x
_atom_site_fract_y
_atom_site_fract_z
In1 In 0.000 0.022 0.000
In2 In 0.000 0.307 0.050
In3 In 0.000 0.394 0.651
In4 In 0.000 0.646 0.857
In5 In 0.000 0.895 0.269
Se1 Se 0.000 0.073 0.405
Se2 Se 0.000 0.274 0.814
Se3 Se 0.000 0.429 0.206
Se4 Se 0.000 0.533 0.495
Se5 Se 0.000 0.794 0.105
Br1 Br 0.000 0.909 0.703
```

***

(9)
Diffraction record for InSnBr3. The powder X-ray diffraction pattern is simulated, not measured: it uses DFT lattice parameters and positions (GGA-PBE) and Cu Kα, 1.54184 Å.
Intensities are scaled so that the largest is 100.

Main lines, low angle first (15° ≤ 2θ ≤ 90°):
- (0 1 1), 20.20°, rel. 23
- (1 1 -1), 26.91°, rel. 23
- (0 0 2), 30.00°, rel. 35
- (2 0 0), 30.14°, rel. 100
- (0 1 2), 32.51°, rel. 47
- (1 0 2), 33.03°, rel. 22
- (1 2 0), 33.46°, rel. 36
- (2 -2 0), 43.67°, rel. 35
- (2 0 -2), 44.11°, rel. 23
- (0 2 -2), 44.91°, rel. 23

Atomic structure:
```
data_InSnBr3
_chemical_formula_sum 'In1 Sn1 Br3'
_cell_length_a 5.933
_cell_length_b 5.960
_cell_length_c 5.986
_cell_angle_alpha 85.06
_cell_angle_beta 87.22
_cell_angle_gamma 88.38
_space_group_name_H-M_alt 'P 1'
_space_group_IT_number 1
loop_
_space_group_symop_operation_xyz
'x,y,z'
loop_
_atom_site_label
_atom_site_type_symbol
_atom_site_fract_x
_atom_site_fract_y
_atom_site_fract_z
In1 In 0.000 0.000 0.000
Sn1 Sn 0.408 0.390 0.363
Br1 Br 0.382 0.348 0.834
Br2 Br 0.398 0.872 0.324
Br3 Br 0.913 0.373 0.332
```

***

(10)
Diffraction record for InSnBr3. The powder X-ray diffraction pattern is simulated, not measured: it uses DFT lattice parameters and positions (GGA-PBE) and Cu Kα, 1.54184 Å.
Intensities are scaled so that the largest is 100.

Main lines, low angle first (15° ≤ 2θ ≤ 90°):
- (0 1 2), 15.25°, rel. 71
- (1 0 4), 21.52°, rel. 42
- (1 1 0), 21.73°, rel. 39
- (1 1 3), 25.44°, rel. 84
- (0 2 4), 30.77°, rel. 92
- (1 1 6), 34.37°, rel. 100
- (2 1 4), 37.99°, rel. 48
- (3 0 0), 38.12°, rel. 63
- (1 0 10), 46.45°, rel. 42
- (3 2 4), 59.78°, rel. 38

Atomic structure:
```
data_InSnBr3
_chemical_formula_sum 'In6 Sn6 Br18'
_cell_length_a 8.1783
_cell_length_b 8.1783
_cell_length_c 20.3303
_cell_angle_alpha 90.00
_cell_angle_beta 90.00
_cell_angle_gamma 120.00
_space_group_name_H-M_alt 'R 3 c'
_space_group_IT_number 161
_space_group_name_Hall 'R 3 -2"c'
loop_
_atom_site_label
_atom_site_type_symbol
_atom_site_fract_x
_atom_site_fract_y
_atom_site_fract_z
In1 In 0.0000 0.0000 0.0000
Sn1 Sn 0.0000 0.0000 0.2969
Br1 Br 0.0294 0.4166 0.0485
```

***

(11)
Diffraction record for InSnBr3. The powder X-ray diffraction pattern is simulated, not measured: it uses DFT lattice parameters and positions (GGA-PBE) and Cu Kα, 1.54184 Å.
Intensities are scaled so that the largest is 100.

Main lines, low angle first (15° ≤ 2θ ≤ 90°):
- (3 3 1), 22.98°, rel. 31
- (4 0 4), 29.76°, rel. 60
- (0 0 6), 29.97°, rel. 69
- (0 6 0), 30.52°, rel. 33
- (4 2 4), 31.51°, rel. 82
- (4 4 2), 31.69°, rel. 100
- (0 6 2), 32.15°, rel. 33
- (6 0 0), 33.28°, rel. 36
- (3 3 5), 33.71°, rel. 44
- (3 5 3), 33.95°, rel. 51

Atomic structure:
```
data_InSnBr3
_chemical_formula_sum 'In32 Sn32 Br96'
_cell_length_a 16.154
_cell_length_b 17.575
_cell_length_c 17.920
_cell_angle_alpha 90.00
_cell_angle_beta 90.00
_cell_angle_gamma 90.00
_space_group_name_H-M_alt 'F m m 2'
_space_group_IT_number 42
_space_group_name_Hall 'F 2 -2'
loop_
_atom_site_label
_atom_site_type_symbol
_atom_site_fract_x
_atom_site_fract_y
_atom_site_fract_z
In1 In 0.000 0.250 0.000
In2 In 0.185 0.000 0.418
In3 In 0.190 0.167 0.752
Sn1 Sn 0.000 0.000 0.602
Sn2 Sn 0.000 0.000 0.883
Sn3 Sn 0.000 0.153 0.255
Sn4 Sn 0.172 0.000 0.090
Sn5 Sn 0.250 0.250 0.000
Br1 Br 0.000 0.000 0.064
Br2 Br 0.000 0.000 0.439
Br3 Br 0.000 0.190 0.749
Br4 Br 0.115 0.000 0.753
Br5 Br 0.132 0.000 0.242
Br6 Br 0.136 0.182 0.370
Br7 Br 0.138 0.115 0.937
Br8 Br 0.138 0.174 0.131
Br9 Br 0.145 0.114 0.572
```